No. 1
The following is a simulated X-ray powder pattern of Rb4Al2S5. It was derived from a cell relaxed with PBE, using CuKα.

Peak list (10 most intense, 2θ = 15–90°, sorted by position)
(hkl), 2θ/deg, Rel. int.
2 0 2, 23.8, 427
3 1 1, 25.8, 209
3 2 0, 27.6, 198
0 1 3, 28.6, 258
2 3 1, 29.1, 1000
1 1 3, 29.6, 290
4 0 0, 30.7, 218
0 3 3, 36.1, 144
0 0 4, 36.9, 136
5 1 3, 48.8, 127

Structural model:
```
Rb4Al2S5
1.0
11.6492 0.0000 0.0000
0.0000 11.6883 0.0000
0.0000 0.0000 9.7200
Rb Al S
16 8 20
Cartesian
0.2212 1.2728 0.0000
0.6192 6.7405 4.6517
2.8400 4.5448 7.1867
2.8652 0.8639 6.1322
2.9594 6.7080 1.2722
2.9846 10.3890 2.3267
5.2054 0.8963 9.5117
5.6034 7.1169 4.8600
6.0458 4.5714 0.0000
6.4438 10.7920 4.6517
8.6646 1.2993 7.1867
8.6898 4.9803 6.1322
8.7840 10.8244 1.2722
8.8092 7.1435 2.3267
11.0300 4.9478 9.5117
11.4280 10.4155 4.8600
0.4708 9.1173 9.1899
2.9150 2.7686 2.5803
2.9095 8.6127 7.4403
5.3538 3.2731 4.3299
6.2954 8.4152 9.1899
8.7396 3.0756 2.5803
8.7341 8.9197 7.4403
11.1784 2.5710 4.3299
0.0979 8.7148 1.6324
1.0529 7.3084 7.9164
1.1919 1.4050 3.2754
2.4093 10.3744 8.8178
2.7635 3.3420 0.4356
3.0610 9.1861 5.2956
3.4153 4.5302 3.9578
4.6326 7.2491 8.1354
4.7717 1.4643 3.0564
5.7266 2.8707 6.4924
5.9225 8.8176 1.6324
6.8775 10.2240 7.9164
7.0165 4.4392 3.2754
8.2339 7.1581 8.8178
8.5881 2.5022 0.4356
8.8856 8.3463 5.2956
9.2399 1.3139 3.9578
10.4572 10.2833 8.1354
10.5963 4.3799 3.0564
11.5512 2.9735 6.4924
```

***

No. 2
The following is a simulated X-ray powder pattern of Tb2ZrSe5. It was derived from a cell relaxed with PBE, using CuKα.

Peak list (10 most intense, 2θ = 15–90°, sorted by position)
(hkl), 2θ/deg, Rel. int.
3 0 1, 24.8, 415
4 0 1, 31.6, 340
0 2 2, 32.1, 313
1 2 2, 32.9, 545
3 2 1, 33.3, 834
2 2 2, 35.4, 1000
1 0 3, 36.0, 340
4 2 0, 36.8, 367
0 4 0, 44.5, 491
5 2 1, 44.9, 462

Structural model:
```
Tb2ZrSe5
1.0
12.1953 0.0000 0.0000
0.0000 8.1504 0.0000
0.0000 0.0000 7.6504
Tb Zr Se
8 4 20
Cartesian
2.1846 0.0322 0.1921
2.1846 4.0431 0.1921
3.9130 4.1074 4.0173
3.9130 8.1183 4.0173
8.2823 0.0322 3.6331
8.2823 4.0431 3.6331
10.0107 4.1074 7.4583
10.0107 8.1183 7.4583
0.0781 6.1128 4.4251
6.0196 2.0376 0.5999
6.1757 6.1128 7.0505
12.1172 2.0376 3.2253
0.0360 6.1128 7.2607
1.1423 0.3089 5.0801
1.1423 3.7663 5.0801
2.2239 6.1128 2.5352
2.5448 2.0376 2.3878
3.5528 6.1128 6.2130
3.8737 2.0376 6.3604
4.9554 4.3842 1.2549
4.9554 7.8415 1.2549
6.0616 2.0376 3.4355
6.1337 6.1128 4.2149
7.2399 0.3089 6.3956
7.2399 3.7663 6.3956
8.3216 6.1128 1.2900
8.6425 2.0376 1.4374
9.6505 6.1128 5.2626
9.9714 2.0376 5.1152
11.0530 4.3842 2.5704
11.0530 7.8415 2.5704
12.1593 2.0376 0.3897
```